1.
Diffraction record for HfTi3Rh4. The PXRD pattern is computed, not measured: it uses the PBE geometry in Alexandria and a wavelength of 1.5418 Å.
No peak broadening, texture or thermal motion is included.

The 10 most intense peaks (10° ≤ 2θ ≤ 90°), by angle:
- 2θ = 31.4°, intensity 8.5, (2 1 1)
- 2θ = 38.8°, intensity 24.5, (0 0 2)
- 2θ = 39.8°, intensity 29.5, (4 0 0)
- 2θ = 41.2°, intensity 100.0, (2 2 1)
- 2θ = 56.8°, intensity 15.7, (4 0 2)
- 2θ = 62.4°, intensity 7.5, (0 4 0)
- 2θ = 71.8°, intensity 11.0, (2 2 3)
- 2θ = 73.2°, intensity 17.4, (6 2 1)
- 2θ = 76.6°, intensity 8.1, (4 4 0)
- 2θ = 89.4°, intensity 8.7, (4 4 2)

```
data_HfTi3Rh4
_cell_length_a 9.0616
_cell_length_b 5.9514
_cell_length_c 4.6431
_cell_angle_alpha 90.00
_cell_angle_beta 90.00
_cell_angle_gamma 90.00
_space_group_name_H-M_alt 'P m m a'
_space_group_IT_number 51
_space_group_name_Hall '-P 2a 2a'
loop_
_atom_site_label
_atom_site_type_symbol
_atom_site_fract_x
_atom_site_fract_y
_atom_site_fract_z
Hf1 Hf 0.0000 0.0000 0.0000
Ti1 Ti 0.0000 0.5000 0.0000
Ti2 Ti 0.2500 0.0000 0.4597
Ti3 Ti 0.2500 0.5000 0.4442
Rh1 Rh 0.0000 0.2553 0.5000
Rh2 Rh 0.2500 0.2567 0.9321
```

***

2.
Diffraction record for HfZrTiRh. The PXRD pattern is computed, not measured: it uses the PBE geometry in Alexandria and a wavelength of 1.5418 Å.
No peak broadening, texture or thermal motion is included.

The 10 most intense peaks (10° ≤ 2θ ≤ 90°), by angle:
- 2θ = 18.2°, intensity 18.0, (0 0 2)
- 2θ = 36.9°, intensity 26.7, (0 0 4)
- 2θ = 38.3°, intensity 100.0, (1 1 2)
- 2θ = 39.1°, intensity 23.9, (0 2 0)
- 2θ = 54.9°, intensity 16.7, (0 2 4)
- 2θ = 55.7°, intensity 8.4, (2 0 0)
- 2θ = 67.5°, intensity 17.5, (1 1 6)
- 2θ = 68.8°, intensity 8.4, (2 0 4)
- 2θ = 70.3°, intensity 16.2, (1 3 2)
- 2θ = 82.1°, intensity 10.3, (2 2 4)

```
data_HfZrTiRh
_cell_length_a 3.2978
_cell_length_b 4.6068
_cell_length_c 9.7339
_cell_angle_alpha 90.00
_cell_angle_beta 90.00
_cell_angle_gamma 90.00
_space_group_name_H-M_alt 'I m m 2'
_space_group_IT_number 44
_space_group_name_Hall 'I 2 -2'
loop_
_atom_site_label
_atom_site_type_symbol
_atom_site_fract_x
_atom_site_fract_y
_atom_site_fract_z
Hf1 Hf 0.0000 0.0000 0.0000
Zr1 Zr 0.0000 0.5000 0.7648
Ti1 Ti 0.0000 0.5000 0.2331
Rh1 Rh 0.0000 0.0000 0.5068
```

***

3.
Diffraction record for Tm4HfRh5. The PXRD pattern is computed, not measured: it uses the PBE geometry in Alexandria and a wavelength of 1.5418 Å.
No peak broadening, texture or thermal motion is included.

The 10 most intense peaks (10° ≤ 2θ ≤ 90°), by angle:
- 2θ = 26.0°, intensity 3.7, (0 0 5)
- 2θ = 26.8°, intensity 6.4, (1 0 0)
- 2θ = 37.7°, intensity 100.0, (1 0 5)
- 2θ = 38.3°, intensity 48.8, (1 1 0)
- 2θ = 53.4°, intensity 8.6, (0 0 10)
- 2θ = 55.3°, intensity 16.8, (2 0 0)
- 2θ = 67.6°, intensity 16.9, (1 1 10)
- 2θ = 68.8°, intensity 33.9, (2 1 5)
- 2θ = 80.5°, intensity 10.4, (2 0 10)
- 2θ = 82.0°, intensity 5.4, (2 2 0)

```
data_Tm4HfRh5
_cell_length_a 3.3235
_cell_length_b 3.3235
_cell_length_c 17.1447
_cell_angle_alpha 90.00
_cell_angle_beta 90.00
_cell_angle_gamma 90.00
_space_group_name_H-M_alt 'P 4/m m m'
_space_group_IT_number 123
_space_group_name_Hall '-P 4 2'
loop_
_atom_site_label
_atom_site_type_symbol
_atom_site_fract_x
_atom_site_fract_y
_atom_site_fract_z
Tm1 Tm 0.0000 0.0000 0.1010
Tm2 Tm 0.0000 0.0000 0.3028
Hf1 Hf 0.0000 0.0000 0.5000
Rh1 Rh 0.5000 0.5000 0.0000
Rh2 Rh 0.5000 0.5000 0.2033
Rh3 Rh 0.5000 0.5000 0.4104
```

***

4.
Diffraction record for HfV3Rh6. The PXRD pattern is computed, not measured: it uses the PBE geometry in Alexandria and a wavelength of 1.5418 Å.
No peak broadening, texture or thermal motion is included.

The 10 most intense peaks (10° ≤ 2θ ≤ 90°), by angle:
- 2θ = 10.5°, intensity 13.6, (1 0 0)
- 2θ = 40.3°, intensity 100.0, (1 1 3)
- 2θ = 40.4°, intensity 93.0, (3 1 -1)
- 2θ = 45.6°, intensity 32.0, (2 0 -4)
- 2θ = 46.2°, intensity 35.6, (0 2 0)
- 2θ = 49.1°, intensity 24.0, (4 0 2)
- 2θ = 66.9°, intensity 19.9, (2 2 -4)
- 2θ = 69.7°, intensity 16.3, (4 2 2)
- 2θ = 81.5°, intensity 12.3, (1 3 3)
- 2θ = 81.6°, intensity 11.5, (3 3 -1)

```
data_HfV3Rh6
_cell_length_a 8.4014
_cell_length_b 3.9338
_cell_length_c 8.8007
_cell_angle_alpha 90.00
_cell_angle_beta 93.07
_cell_angle_gamma 90.00
_space_group_name_H-M_alt 'P 1 21/m 1'
_space_group_IT_number 11
_space_group_name_Hall '-P 2yb'
loop_
_atom_site_label
_atom_site_type_symbol
_atom_site_fract_x
_atom_site_fract_y
_atom_site_fract_z
Hf1 Hf 0.0673 0.2500 0.3812
V1 V 0.2512 0.2500 0.0223
V2 V 0.3370 0.7500 0.8136
V3 V 0.4372 0.2500 0.6085
Rh1 Rh 0.0610 0.7500 0.9079
Rh2 Rh 0.1569 0.2500 0.7088
Rh3 Rh 0.1632 0.7500 0.1971
Rh4 Rh 0.2684 0.7500 0.5084
Rh5 Rh 0.3842 0.2500 0.3077
Rh6 Rh 0.4671 0.7500 0.1012
```

***

5.
Diffraction record for YHf4Rh5. The PXRD pattern is computed, not measured: it uses the PBE geometry in Alexandria and a wavelength of 1.5418 Å.
No peak broadening, texture or thermal motion is included.

The 10 most intense peaks (10° ≤ 2θ ≤ 90°), by angle:
- 2θ = 10.5°, intensity 5.8, (0 0 2)
- 2θ = 38.3°, intensity 100.0, (1 0 5)
- 2θ = 38.8°, intensity 54.2, (1 1 0)
- 2θ = 42.4°, intensity 9.3, (1 0 6)
- 2θ = 54.4°, intensity 6.3, (0 0 10)
- 2θ = 56.0°, intensity 18.5, (2 0 0)
- 2θ = 68.8°, intensity 12.5, (1 1 10)
- 2θ = 69.9°, intensity 33.8, (2 1 5)
- 2θ = 81.9°, intensity 7.8, (2 0 10)
- 2θ = 83.3°, intensity 5.9, (2 2 0)

```
data_YHf4Rh5
_cell_length_a 3.2818
_cell_length_b 3.2818
_cell_length_c 16.8546
_cell_angle_alpha 90.00
_cell_angle_beta 90.00
_cell_angle_gamma 90.00
_space_group_name_H-M_alt 'P 4/m m m'
_space_group_IT_number 123
_space_group_name_Hall '-P 4 2'
loop_
_atom_site_label
_atom_site_type_symbol
_atom_site_fract_x
_atom_site_fract_y
_atom_site_fract_z
Y1 Y 0.0000 0.0000 0.0000
Hf1 Hf 0.0000 0.0000 0.2079
Hf2 Hf 0.0000 0.0000 0.4034
Rh1 Rh 0.5000 0.5000 0.1228
Rh2 Rh 0.5000 0.5000 0.3104
Rh3 Rh 0.5000 0.5000 0.5000
```

***

6.
Diffraction record for Hf6Zn5Rh. The PXRD pattern is computed, not measured: it uses the PBE geometry in Alexandria and a wavelength of 1.5418 Å.
No peak broadening, texture or thermal motion is included.

The 10 most intense peaks (10° ≤ 2θ ≤ 90°), by angle:
- 2θ = 27.0°, intensity 15.3, (1 0 3)
- 2θ = 27.1°, intensity 7.5, (0 2 0)
- 2θ = 38.4°, intensity 20.3, (0 0 6)
- 2θ = 38.6°, intensity 100.0, (2 0 0)
- 2θ = 55.6°, intensity 13.8, (2 0 6)
- 2θ = 55.9°, intensity 6.8, (0 4 0)
- 2θ = 69.6°, intensity 13.9, (1 2 9)
- 2θ = 69.9°, intensity 20.7, (3 2 3)
- 2θ = 70.1°, intensity 6.8, (2 4 0)
- 2θ = 82.8°, intensity 10.9, (4 0 0)

```
data_Hf6Zn5Rh
_cell_length_a 4.6618
_cell_length_b 6.5739
_cell_length_c 14.0557
_cell_angle_alpha 90.00
_cell_angle_beta 90.00
_cell_angle_gamma 90.00
_space_group_name_H-M_alt 'I m m m'
_space_group_IT_number 71
_space_group_name_Hall '-I 2 2'
loop_
_atom_site_label
_atom_site_type_symbol
_atom_site_fract_x
_atom_site_fract_y
_atom_site_fract_z
Hf1 Hf 0.0000 0.2475 0.0000
Hf2 Hf 0.0000 0.2514 0.3346
Zn1 Zn 0.0000 0.0000 0.1700
Zn2 Zn 0.0000 0.0000 0.5000
Zn3 Zn 0.0000 0.5000 0.1671
Rh1 Rh 0.0000 0.5000 0.5000
```

***

7.
Diffraction record for Hf3ZrRh6. The PXRD pattern is computed, not measured: it uses the PBE geometry in Alexandria and a wavelength of 1.5418 Å.
No peak broadening, texture or thermal motion is included.

The 10 most intense peaks (10° ≤ 2θ ≤ 90°), by angle:
- 2θ = 38.9°, intensity 45.3, (2 0 -4)
- 2θ = 39.1°, intensity 56.0, (0 2 0)
- 2θ = 39.5°, intensity 84.0, (3 1 -1)
- 2θ = 39.9°, intensity 100.0, (1 1 3)
- 2θ = 56.3°, intensity 30.5, (2 2 -4)
- 2θ = 58.4°, intensity 11.2, (4 0 2)
- 2θ = 71.1°, intensity 14.6, (3 3 -1)
- 2θ = 71.3°, intensity 14.4, (1 1 -7)
- 2θ = 71.4°, intensity 17.7, (1 3 3)
- 2θ = 72.6°, intensity 11.6, (4 2 2)

```
data_Hf3ZrRh6
_cell_length_a 7.8852
_cell_length_b 4.6046
_cell_length_c 9.7502
_cell_angle_alpha 90.00
_cell_angle_beta 107.80
_cell_angle_gamma 90.00
_space_group_name_H-M_alt 'P 1 21/m 1'
_space_group_IT_number 11
_space_group_name_Hall '-P 2yb'
loop_
_atom_site_label
_atom_site_type_symbol
_atom_site_fract_x
_atom_site_fract_y
_atom_site_fract_z
Hf1 Hf 0.0214 0.2500 0.3846
Hf2 Hf 0.1317 0.7500 0.1927
Hf3 Hf 0.3005 0.2500 0.9835
Zr1 Zr 0.4404 0.2500 0.6071
Rh1 Rh 0.0486 0.7500 0.9064
Rh2 Rh 0.1382 0.2500 0.6835
Rh3 Rh 0.2515 0.7500 0.4896
Rh4 Rh 0.3360 0.2500 0.2983
Rh5 Rh 0.3562 0.7500 0.8069
Rh6 Rh 0.4118 0.7500 0.1134
```

***

8.
Diffraction record for HfZr3Rh. The PXRD pattern is computed, not measured: it uses the PBE geometry in Alexandria and a wavelength of 1.5418 Å.
No peak broadening, texture or thermal motion is included.

The 10 most intense peaks (10° ≤ 2θ ≤ 90°), by angle:
- 2θ = 14.3°, intensity 39.7, (1 1 0)
- 2θ = 22.5°, intensity 34.3, (2 0 0)
- 2θ = 32.9°, intensity 100.0, (2 2 1)
- 2θ = 33.2°, intensity 26.6, (1 3 1)
- 2θ = 34.7°, intensity 73.7, (1 1 2)
- 2θ = 36.0°, intensity 39.1, (0 4 0)
- 2θ = 39.0°, intensity 31.4, (2 0 2)
- 2θ = 39.5°, intensity 24.8, (0 4 1)
- 2θ = 43.4°, intensity 30.2, (1 3 2)
- 2θ = 45.8°, intensity 36.7, (4 0 0)

```
data_HfZr3Rh
_cell_length_a 7.9201
_cell_length_b 9.9774
_cell_length_c 5.6792
_cell_angle_alpha 90.00
_cell_angle_beta 90.00
_cell_angle_gamma 90.00
_space_group_name_H-M_alt 'C m c 21'
_space_group_IT_number 36
_space_group_name_Hall 'C 2c -2'
loop_
_atom_site_label
_atom_site_type_symbol
_atom_site_fract_x
_atom_site_fract_y
_atom_site_fract_z
Hf1 Hf 0.0000 0.0956 0.0000
Zr1 Zr 0.0000 0.3803 0.7041
Zr2 Zr 0.2035 0.3471 0.1716
Rh1 Rh 0.0000 0.1623 0.4453
```